# 1
This entry pairs a crystal structure of PrYTe2O8 with its computed XRD peak list. Radiation: Cu Kα (λ = 1.5418 Å). Structure: a cell relaxed with PBE.

Structure:
```
data_PrYTe2O8
_chemical_formula_sum 'Pr2 Y2 Te4 O16'
_cell_length_a 7.521
_cell_length_b 7.521
_cell_length_c 6.936
_cell_angle_alpha 90.00
_cell_angle_beta 90.00
_cell_angle_gamma 90.00
_space_group_name_H-M_alt 'I -4 m 2'
_space_group_IT_number 119
_space_group_name_Hall 'I -4 -2'
loop_
_atom_site_label
_atom_site_type_symbol
_atom_site_fract_x
_atom_site_fract_y
_atom_site_fract_z
Pr1 Pr 0.000 0.000 0.000
Y1 Y 0.000 0.500 0.250
Te1 Te 0.000 0.000 0.500
Te2 Te 0.000 0.500 0.750
O1 O 0.000 0.190 0.302
O2 O 0.000 0.321 0.946
```

Main lines, low angle first (10° ≤ 2θ ≤ 90°):
2θ (°)  d [Å]  I/Imax
23.66  3.761  100.0
30.78  2.905  76.7
33.70  2.659  23.8
46.29  1.962  65.9
48.41  1.880  16.2
54.57  1.682  15.1
58.47  1.579  20.0
58.62  1.575  14.8
64.11  1.453  10.3
69.21  1.357  14.1
79.23  1.209  12.1
79.37  1.207  11.5


# 2
This entry pairs a crystal structure of PrTiTlO4 with its computed XRD peak list. Radiation: Cu Kα (λ = 1.5418 Å). Structure: a cell relaxed with PBE.

Structure:
```
data_PrTiTlO4
_chemical_formula_sum 'Pr2 Ti2 Tl2 O8'
_cell_length_a 6.297
_cell_length_b 6.126
_cell_length_c 7.631
_cell_angle_alpha 90.00
_cell_angle_beta 104.39
_cell_angle_gamma 90.00
_space_group_name_H-M_alt 'P 1 21/m 1'
_space_group_IT_number 11
_space_group_name_Hall '-P 2yb'
loop_
_atom_site_label
_atom_site_type_symbol
_atom_site_fract_x
_atom_site_fract_y
_atom_site_fract_z
Pr1 Pr 0.195 0.250 0.066
Ti1 Ti 0.283 0.750 0.849
Tl1 Tl 0.319 0.250 0.605
O1 O 0.085 0.523 0.841
O2 O 0.471 0.750 0.702
O3 O 0.475 0.750 0.067
```

Main lines, low angle first (10° ≤ 2θ ≤ 90°):
2θ (°)  d [Å]  I/Imax
20.55  4.322  100.0
21.06  4.218  35.7
24.88  3.579  23.2
28.20  3.164  73.8
28.89  3.091  21.4
29.15  3.063  49.1
32.33  2.769  20.4
36.29  2.476  38.5
38.69  2.327  23.2
41.80  2.161  17.4
45.48  1.994  29.0
51.09  1.788  21.2


# 3
This entry pairs a crystal structure of Pr9Tl3O2 with its computed XRD peak list. Radiation: Cu Kα (λ = 1.5418 Å). Structure: a cell relaxed with PBE.

Structure:
```
data_Pr9Tl3O2
_chemical_formula_sum 'Pr9 Tl3 O2'
_cell_length_a 7.1717
_cell_length_b 7.1717
_cell_length_c 8.7895
_cell_angle_alpha 90.00
_cell_angle_beta 90.00
_cell_angle_gamma 120.00
_space_group_name_H-M_alt 'P -3 m 1'
_space_group_IT_number 164
_space_group_name_Hall '-P 3 2"'
loop_
_atom_site_label
_atom_site_type_symbol
_atom_site_fract_x
_atom_site_fract_y
_atom_site_fract_z
Pr1 Pr 0.0000 0.5000 0.0000
Pr2 Pr 0.1690 0.3380 0.6691
Tl1 Tl 0.0000 0.0000 0.0000
Tl2 Tl 0.3333 0.6667 0.3329
O1 O 0.3333 0.6667 0.8410
```

Main lines, low angle first (10° ≤ 2θ ≤ 90°):
2θ (°)  d [Å]  I/Imax
17.48  5.072  1.5
24.82  3.587  3.1
30.53  2.928  100.0
35.39  2.536  54.5
39.74  2.268  0.9
43.71  2.071  1.5
50.92  1.793  38.7
60.54  1.529  43.4
63.54  1.464  13.2
74.88  1.268  6.1
82.98  1.164  18.0
85.64  1.134  17.6